Diffraction record for CdPd9Pt2. The powder X-ray diffraction pattern is calculated, not measured: it uses a crystal structure in Alexandria, relaxed with GGA-PBE and Cu Kα, 1.54184 Å.
Lines closer than 0.1° are merged.

Most intense lines, 10° ≤ 2θ ≤ 90°, by intensity:
| Position (°2θ) | intensity | h k l |
| --- | --- | --- |
| 39.26 | 100 | 1 1 3 |
| 45.79 | 32 | 2 0 0 |
| 80.28 | 24 | 3 1 3 |
| 66.43 | 21 | 2 0 6 |
| 45.36 | 16 | 0 0 6 |
| 79.66 | 12 | 1 1 9 |
| 84.43 | 11 | 2 2 6 |
| 66.77 | 10 | 2 2 0 |
| 22.44 | 3 | 1 0 0 |
| 31.79 | 2 | 1 0 3 |

Atomic structure:
Lattice parameters (Å, degrees): 3.9628 3.9628 11.9951 90.00 90.00 90.00
Space group P4/mmm (No. 123)
Inequivalent atoms, fractional coordinates:
Cd 0.0000 0.0000 0.0000
Pd 0.0000 0.5000 0.1719
Pd 0.0000 0.5000 0.5000
Pd 0.5000 0.5000 0.0000
Pd 0.5000 0.5000 0.3353
Pt 0.0000 0.0000 0.3376